Entry 1:
Starting from a crystal structure in the Materials Project, relaxed with PBE, the powder XRD pattern of NdRu2 was calculated for Cu Ka.
No peak broadening, texture or thermal motion is included.

Crystal structure
Lattice parameters (Å, degrees): 7.6818 7.6818 7.6818 90.00 90.00 90.00
Space group Fd-3m (No. 227, origin choice 2)
Unique sites:
Nd 0.1250 0.1250 0.1250 x8
Ru 0.0000 0.0000 0.5000 x16

Largest 8 diffraction maxima, by angle, 10° ≤ 2θ ≤ 80°:
Position (°2θ)  intensity  (hkl)
32.98  388  2 2 0
38.88  1000  3 1 1
40.69  295  2 2 2
47.34  12  4 0 0
58.90  147  4 2 2
62.86  320  5 1 1
69.18  261  4 4 0
78.80  63  6 2 0


Entry 2:
Starting from a crystal structure in the Materials Project, relaxed with PBE, the powder XRD pattern of BaSiC was calculated for Cu Ka.
No peak broadening, texture or thermal motion is included.

Crystal structure
Lattice parameters (Å, degrees): 4.8384 4.8384 7.9954 90.00 90.00 90.00
Space group I4mm (No. 107)
Unique sites:
Ba 0.0000 0.0000 0.0000 x2
Si 0.0000 0.0000 0.4275 x2
C 0.0000 0.0000 0.6411 x2

Largest 10 diffraction maxima, by angle, 10° ≤ 2θ ≤ 80°:
Position (°2θ)  intensity  (hkl)
21.47  990  1 0 1
22.24  539  0 0 2
26.04  1000  1 1 0
34.51  694  1 1 2
37.16  377  2 0 0
38.57  438  1 0 3
43.32  337  2 1 1
43.74  354  2 0 2
54.64  310  2 1 3
65.30  217  3 1 2


Entry 3:
Starting from a crystal structure in the Materials Project, relaxed with PBE, the powder XRD pattern of BaMgBiF7 was calculated for Cu Ka.
No peak broadening, texture or thermal motion is included.

Crystal structure
Lattice parameters (Å, degrees): 5.7126 10.7874 9.9214 90.00 91.43 90.00
Space group P2_1/c (No. 14)
Unique sites:
Ba 0.2439 0.1677 0.0085 x4
Mg 0.1962 0.6261 0.8014 x4
Bi 0.2770 0.5853 0.1670 x4
F 0.0017 0.2269 0.2664 x4
F 0.0570 0.5276 0.6516 x4
F 0.0994 0.0985 0.5930 x4
F 0.2986 0.7115 0.9764 x4
F 0.3555 0.0251 0.3759 x4
F 0.4171 0.5352 0.3721 x4
F 0.4650 0.7259 0.7252 x4

Largest 10 diffraction maxima, by angle, 10° ≤ 2θ ≤ 80°:
Position (°2θ)  intensity  (hkl)
18.73  503  0 2 1
19.56  341  1 1 -1
19.91  489  1 1 1
24.26  1000  1 2 -1
24.55  392  1 2 1
24.89  331  1 1 -2
25.46  548  1 1 2
28.23  624  0 1 3
29.35  425  1 3 0
31.33  384  2 0 0


Entry 4:
Starting from a crystal structure in the Materials Project, relaxed with PBE, the powder XRD pattern of Mg3Ga was calculated for Cu Ka.
No peak broadening, texture or thermal motion is included.

Crystal structure
Lattice parameters (Å, degrees): 6.9804 6.9804 6.9804 90.00 90.00 90.00
Space group Fm-3m (No. 225)
Unique sites:
Mg 0.0000 0.0000 0.0000 x4
Mg 0.2500 0.2500 0.2500 x8
Ga 0.0000 0.0000 0.5000 x4

Largest 10 diffraction maxima, by angle, 10° ≤ 2θ ≤ 80°:
Position (°2θ)  intensity  (hkl)
22.06  237  1 1 1
25.52  125  2 0 0
36.40  1000  2 2 0
42.97  126  3 1 1
52.43  169  4 0 0
57.55  52  3 3 1
59.20  48  4 2 0
65.51  335  4 2 2
70.04  38  5 1 1
77.33  101  4 4 0


Entry 5:
Starting from a crystal structure in the Materials Project, relaxed with PBE, the powder XRD pattern of MgCu3Sb4O12 was calculated for Cu Ka.
No peak broadening, texture or thermal motion is included.

Crystal structure
Lattice parameters (Å, degrees): 7.8086 7.8086 7.8086 90.00 90.00 90.00
Space group Im-3 (No. 204)
Unique sites:
Mg 0.0000 0.0000 0.0000 x2
Cu 0.0000 0.0000 0.5000 x6
Sb 0.2500 0.2500 0.2500 x8
O 0.0000 0.2985 0.1716 x24

Largest 10 diffraction maxima, by angle, 10° ≤ 2θ ≤ 80°:
Position (°2θ)  intensity  (hkl)
22.78  218  2 0 0
27.99  33  2 1 1
32.43  1000  2 2 0
36.38  25  3 1 0
46.52  251  4 0 0
52.40  102  4 2 0
57.85  478  4 2 2
67.90  129  4 4 0
72.65  33  4 4 2
77.28  169  6 2 0